Computed X-ray powder pattern of K2ScC2O6 for Cu Kα, from a structure optimized by DFT (GGA-PBE).
No peak broadening, texture or thermal motion is included.

Main lines, low angle first (10 to 90 degrees two-theta):
2θ = 14.25°, I = 35, (0 0 1); 2θ = 23.78°, I = 60, (0 1 1); 2θ = 33.13°, I = 55, (1 1 0); 2θ = 34.63°, I = 100, (1 0 2); 2θ = 41.19°, I = 58, (2 0 1); 2θ = 48.68°, I = 26, (0 2 2); 2θ = 53.84°, I = 24, (1 2 1); 2θ = 55.89°, I = 22, (1 1 3)

Atomic structure:
```
data_K2ScC2O6
_chemical_formula_sum 'K2 Sc1 C2 O6'
_cell_length_a 5.4088
_cell_length_b 5.4088
_cell_length_c 6.2173
_cell_angle_alpha 90.00
_cell_angle_beta 90.00
_cell_angle_gamma 120.00
_space_group_name_H-M_alt 'P 1'
_space_group_IT_number 1
loop_
_space_group_symop_operation_xyz
'x,y,z'
loop_
_atom_site_label
_atom_site_type_symbol
_atom_site_fract_x
_atom_site_fract_y
_atom_site_fract_z
K1 K 0.3333 0.6667 0.3236
K2 K 0.6667 0.3333 0.6764
Sc1 Sc 0.0000 0.0000 0.0000
C1 C 0.3333 0.6667 0.8184
C2 C 0.6667 0.3333 0.1816
O1 O 0.1932 0.3864 0.8092
O2 O 0.1932 0.8068 0.8092
O3 O 0.3864 0.1932 0.1908
O4 O 0.6136 0.8068 0.8092
O5 O 0.8068 0.1932 0.1908
O6 O 0.8068 0.6136 0.1908
```

---

Computed X-ray powder pattern of V12Ga3As for Cu Kα, from a structure optimized by DFT (GGA-PBE).
No peak broadening, texture or thermal motion is included.

Main lines, low angle first (10 to 90 degrees two-theta):
2θ = 37.61°, I = 24, (0 2 0); 2θ = 37.75°, I = 47, (2 0 0); 2θ = 42.30°, I = 62, (1 2 0); 2θ = 42.41°, I = 64, (2 0 2); 2θ = 46.60°, I = 100, (1 2 2); 2θ = 46.68°, I = 49, (1 1 4); 2θ = 74.31°, I = 34, (1 3 4); 2θ = 74.46°, I = 34, (2 1 6)

Atomic structure:
```
data_V12Ga3As
_chemical_formula_sum 'V12 Ga3 As1'
_cell_length_a 4.7704
_cell_length_b 4.7830
_cell_length_c 9.5233
_cell_angle_alpha 90.00
_cell_angle_beta 90.00
_cell_angle_gamma 90.00
_space_group_name_H-M_alt 'P 1'
_space_group_IT_number 1
loop_
_space_group_symop_operation_xyz
'x,y,z'
loop_
_atom_site_label
_atom_site_type_symbol
_atom_site_fract_x
_atom_site_fract_y
_atom_site_fract_z
V1 V 0.0000 0.0000 0.1222
V2 V 0.0000 0.0000 0.3753
V3 V 0.0000 0.0000 0.6247
V4 V 0.0000 0.0000 0.8778
V5 V 0.2501 0.5000 0.2521
V6 V 0.2501 0.5000 0.7479
V7 V 0.5000 0.2516 0.0000
V8 V 0.5000 0.2530 0.5000
V9 V 0.5000 0.7470 0.5000
V10 V 0.5000 0.7484 0.0000
V11 V 0.7499 0.5000 0.2521
V12 V 0.7499 0.5000 0.7479
Ga1 Ga 0.0000 0.5000 0.0000
Ga2 Ga 0.5000 0.0000 0.2506
Ga3 Ga 0.5000 0.0000 0.7494
As1 As 0.0000 0.5000 0.5000
```

---

Computed X-ray powder pattern of Y2Al14Fe3 for Cu Kα, from a structure optimized by DFT (GGA-PBE).
No peak broadening, texture or thermal motion is included.

Main lines, low angle first (10 to 90 degrees two-theta):
2θ = 23.02°, I = 27, (2 0 0); 2θ = 28.51°, I = 60, (1 1 2); 2θ = 34.84°, I = 31, (3 0 0); 2θ = 38.56°, I = 29, (2 0 3); 2θ = 40.44°, I = 76, (2 2 0); 2θ = 40.60°, I = 100, (3 0 2); 2θ = 41.07°, I = 37, (0 0 4); 2θ = 59.01°, I = 28, (2 2 4)

Atomic structure:
```
data_Y2Al14Fe3
_chemical_formula_sum 'Y4 Al28 Fe6'
_cell_length_a 8.9213
_cell_length_b 8.9213
_cell_length_c 8.7909
_cell_angle_alpha 90.00
_cell_angle_beta 90.00
_cell_angle_gamma 120.00
_space_group_name_H-M_alt 'P 1'
_space_group_IT_number 1
loop_
_space_group_symop_operation_xyz
'x,y,z'
loop_
_atom_site_label
_atom_site_type_symbol
_atom_site_fract_x
_atom_site_fract_y
_atom_site_fract_z
Y1 Y 0.0000 0.0000 0.2500
Y2 Y 0.0000 0.0000 0.7500
Y3 Y 0.3333 0.6667 0.2500
Y4 Y 0.6667 0.3333 0.7500
Al1 Al 0.0328 0.3730 0.7500
Al2 Al 0.0328 0.6597 0.7500
Al3 Al 0.1740 0.3481 0.0218
Al4 Al 0.1740 0.3481 0.4782
Al5 Al 0.1740 0.8260 0.0218
Al6 Al 0.1740 0.8260 0.4782
Al7 Al 0.3333 0.6667 0.5947
Al8 Al 0.3333 0.6667 0.9053
Al9 Al 0.3403 0.3730 0.7500
Al10 Al 0.3403 0.9672 0.7500
Al11 Al 0.3481 0.1740 0.5218
Al12 Al 0.3481 0.1740 0.9782
Al13 Al 0.3730 0.0328 0.2500
Al14 Al 0.3730 0.3403 0.2500
Al15 Al 0.6270 0.6597 0.7500
Al16 Al 0.6270 0.9672 0.7500
Al17 Al 0.6519 0.8260 0.0218
Al18 Al 0.6519 0.8260 0.4782
Al19 Al 0.6597 0.0328 0.2500
Al20 Al 0.6597 0.6270 0.2500
Al21 Al 0.6667 0.3333 0.0947
Al22 Al 0.6667 0.3333 0.4053
Al23 Al 0.8260 0.1740 0.5218
Al24 Al 0.8260 0.1740 0.9782
Al25 Al 0.8260 0.6519 0.5218
Al26 Al 0.8260 0.6519 0.9782
Al27 Al 0.9672 0.3403 0.2500
Al28 Al 0.9672 0.6270 0.2500
Fe1 Fe 0.0000 0.5000 0.0000
Fe2 Fe 0.0000 0.5000 0.5000
Fe3 Fe 0.5000 0.0000 0.0000
Fe4 Fe 0.5000 0.0000 0.5000
Fe5 Fe 0.5000 0.5000 0.0000
Fe6 Fe 0.5000 0.5000 0.5000
```

---

Computed X-ray powder pattern of Y2Be4NiIr3 for Cu Kα, from a structure optimized by DFT (GGA-PBE).
No peak broadening, texture or thermal motion is included.

Main lines, low angle first (10 to 90 degrees two-theta):
2θ = 28.57°, I = 42, (0 0 3); 2θ = 29.67°, I = 87, (1 0 2); 2θ = 33.64°, I = 100, (1 1 1); 2θ = 36.75°, I = 67, (1 0 3); 2θ = 37.63°, I = 67, (1 1 2); 2θ = 46.20°, I = 60, (2 0 0); 2θ = 55.87°, I = 31, (2 1 2); 2θ = 60.43°, I = 32, (2 1 3)

Atomic structure:
```
data_Y2Be4NiIr3
_chemical_formula_sum 'Y2 Be4 Ni1 Ir3'
_cell_length_a 3.9301
_cell_length_b 3.9301
_cell_length_c 9.3732
_cell_angle_alpha 90.00
_cell_angle_beta 90.00
_cell_angle_gamma 90.00
_space_group_name_H-M_alt 'P 1'
_space_group_IT_number 1
loop_
_space_group_symop_operation_xyz
'x,y,z'
loop_
_atom_site_label
_atom_site_type_symbol
_atom_site_fract_x
_atom_site_fract_y
_atom_site_fract_z
Y1 Y 0.0000 0.5000 0.2477
Y2 Y 0.5000 0.0000 0.7523
Be1 Be 0.0000 0.0000 0.5000
Be2 Be 0.0000 0.5000 0.8792
Be3 Be 0.5000 0.0000 0.1208
Be4 Be 0.5000 0.5000 0.5000
Ni1 Ni 0.5000 0.5000 0.0000
Ir1 Ir 0.0000 0.0000 0.0000
Ir2 Ir 0.0000 0.5000 0.6291
Ir3 Ir 0.5000 0.0000 0.3709
```